Entry 1:
Starting from a crystal structure in the Materials Project, relaxed with PBE, the PXRD pattern of Te2Mo3WSe2S4 was simulated for Cu Kα (λ = 1.5418 Å).
Peak positions follow from Bragg's law for the DFT cell and can differ from measured ones.

Principal peaks in the range 10° ≤ 2θ ≤ 90°, low angle first:
| two_theta | d_spacing | I (rel.) | index |
| --- | --- | --- | --- |
| 11.2 | 7.930 | 100 | 0 0 5 |
| 13.4 | 6.608 | 12 | 0 0 6 |
| 31.3 | 2.860 | 44 | 1 0 0 |
| 33.3 | 2.692 | 12 | 1 0 5 |
| 35.1 | 2.555 | 12 | 0 1 7 |
| 36.2 | 2.479 | 63 | 1 0 8 |
| 37.5 | 2.400 | 14 | 1 0 9 |
| 43.4 | 2.087 | 44 | 0 1 13 |
| 45.0 | 2.013 | 14 | 1 0 14 |
| 55.6 | 1.652 | 25 | 1 1 0 |

```
data_Te2Mo3WSe2S4
_chemical_formula_sum 'Te2 Mo3 W1 Se2 S4'
_space_group_name_H-M_alt 'P 1'
_space_group_IT_number 1
_space_group_name_Hall 'P 1'
_cell_length_a 3.305
_cell_length_b 3.305
_cell_length_c 39.651
_cell_angle_alpha 90.00
_cell_angle_beta 90.00
_cell_angle_gamma 120.00
loop_
_atom_site_label
_atom_site_type_symbol
_atom_site_fract_x
_atom_site_fract_y
_atom_site_fract_z
Te1 Te 0.000 0.000 0.000
Te2 Te 0.000 0.000 0.096
Mo1 Mo 0.000 0.000 0.858
Mo2 Mo 0.667 0.333 0.048
Mo3 Mo 0.667 0.333 0.672
W1 W 0.000 0.000 0.236
Se1 Se 0.667 0.333 0.816
Se2 Se 0.667 0.333 0.901
S1 S 0.000 0.000 0.633
S2 S 0.000 0.000 0.710
S3 S 0.667 0.333 0.198
S4 S 0.667 0.333 0.275
```



Entry 2:
Starting from a crystal structure in the Materials Project, relaxed with PBE, the PXRD pattern of TeMoWSe2S was simulated for Cu Kα (λ = 1.5418 Å).
Peak positions follow from Bragg's law for the DFT cell and can differ from measured ones.

Principal peaks in the range 10° ≤ 2θ ≤ 90°, low angle first:
| two_theta | d_spacing | I (rel.) | index |
| --- | --- | --- | --- |
| 11.6 | 7.614 | 100 | 0 0 5 |
| 14.0 | 6.345 | 19 | 0 0 6 |
| 30.9 | 2.891 | 46 | 1 0 0 |
| 33.1 | 2.705 | 13 | 1 0 5 |
| 36.3 | 2.472 | 81 | 1 0 8 |
| 44.0 | 2.058 | 47 | 1 0 13 |
| 45.8 | 1.982 | 14 | 0 1 14 |
| 55.0 | 1.670 | 28 | 1 1 0 |
| 67.7 | 1.384 | 13 | 0 2 8 |
| 77.7 | 1.229 | 13 | 1 1 21 |

```
data_TeMoWSe2S
_chemical_formula_sum 'Te2 Mo2 W2 Se4 S2'
_space_group_name_H-M_alt 'P 1'
_space_group_IT_number 1
_space_group_name_Hall 'P 1'
_cell_length_a 3.341
_cell_length_b 3.341
_cell_length_c 38.072
_cell_angle_alpha 90.00
_cell_angle_beta 90.00
_cell_angle_gamma 120.00
loop_
_atom_site_label
_atom_site_type_symbol
_atom_site_fract_x
_atom_site_fract_y
_atom_site_fract_z
Te1 Te 0.000 0.000 0.000
Te2 Te 0.000 0.000 0.100
Mo1 Mo 0.000 0.000 0.862
Mo2 Mo 0.333 0.667 0.050
W1 W 0.000 0.000 0.238
W2 W 0.333 0.667 0.426
Se1 Se 0.000 0.000 0.382
Se2 Se 0.000 0.000 0.470
Se3 Se 0.333 0.667 0.818
Se4 Se 0.333 0.667 0.906
S1 S 0.333 0.667 0.198
S2 S 0.333 0.667 0.278
```



Entry 3:
Starting from a crystal structure in the Materials Project, relaxed with PBE, the PXRD pattern of Te2MoWSeS was simulated for Cu Kα (λ = 1.5418 Å).
Peak positions follow from Bragg's law for the DFT cell and can differ from measured ones.

Principal peaks in the range 10° ≤ 2θ ≤ 90°, low angle first:
| two_theta | d_spacing | I (rel.) | index |
| --- | --- | --- | --- |
| 11.4 | 7.767 | 100 | 0 0 5 |
| 30.4 | 2.939 | 52 | 1 0 0 |
| 32.6 | 2.750 | 15 | 1 0 5 |
| 35.7 | 2.515 | 98 | 1 0 8 |
| 37.0 | 2.429 | 14 | 0 0 16 |
| 43.2 | 2.096 | 54 | 0 1 13 |
| 44.9 | 2.018 | 16 | 1 0 14 |
| 54.0 | 1.698 | 34 | 1 1 0 |
| 66.4 | 1.407 | 16 | 0 2 8 |
| 76.1 | 1.251 | 16 | 1 1 21 |

```
data_Te2MoWSeS
_chemical_formula_sum 'Te4 Mo2 W2 Se2 S2'
_space_group_name_H-M_alt 'P 1'
_space_group_IT_number 1
_space_group_name_Hall 'P 1'
_cell_length_a 3.396
_cell_length_b 3.396
_cell_length_c 38.837
_cell_angle_alpha 90.00
_cell_angle_beta 90.00
_cell_angle_gamma 120.00
loop_
_atom_site_label
_atom_site_type_symbol
_atom_site_fract_x
_atom_site_fract_y
_atom_site_fract_z
Te1 Te 0.000 0.000 0.000
Te2 Te 0.000 0.000 0.097
Te3 Te 0.000 0.000 0.376
Te4 Te 0.000 0.000 0.473
Mo1 Mo 0.000 0.000 0.236
Mo2 Mo 0.333 0.667 0.048
W1 W 0.000 0.000 0.860
W2 W 0.333 0.667 0.424
Se1 Se 0.333 0.667 0.194
Se2 Se 0.333 0.667 0.279
S1 S 0.333 0.667 0.822
S2 S 0.333 0.667 0.899
```



Entry 4:
Starting from a crystal structure in the Materials Project, relaxed with PBE, the PXRD pattern of Te2MoW3Se4S2 was simulated for Cu Kα (λ = 1.5418 Å).
Peak positions follow from Bragg's law for the DFT cell and can differ from measured ones.

Principal peaks in the range 10° ≤ 2θ ≤ 90°, low angle first:
| two_theta | d_spacing | I (rel.) | index |
| --- | --- | --- | --- |
| 11.6 | 7.625 | 100 | 0 0 5 |
| 13.9 | 6.354 | 22 | 0 0 6 |
| 30.9 | 2.895 | 37 | 1 0 0 |
| 33.1 | 2.708 | 14 | 1 0 5 |
| 36.3 | 2.475 | 74 | 1 0 8 |
| 37.6 | 2.391 | 13 | 0 1 9 |
| 43.9 | 2.061 | 43 | 0 1 13 |
| 45.7 | 1.984 | 17 | 1 0 14 |
| 54.9 | 1.672 | 28 | 1 1 0 |
| 77.6 | 1.230 | 12 | 1 1 21 |

```
data_Te2MoW3Se4S2
_chemical_formula_sum 'Te2 Mo1 W3 Se4 S2'
_space_group_name_H-M_alt 'P 1'
_space_group_IT_number 1
_space_group_name_Hall 'P 1'
_cell_length_a 3.345
_cell_length_b 3.345
_cell_length_c 38.126
_cell_angle_alpha 90.00
_cell_angle_beta 90.00
_cell_angle_gamma 120.00
loop_
_atom_site_label
_atom_site_type_symbol
_atom_site_fract_x
_atom_site_fract_y
_atom_site_fract_z
Te1 Te 0.000 0.000 0.000
Te2 Te 0.000 0.000 0.100
Mo1 Mo 0.000 0.000 0.486
W1 W 0.000 0.000 0.862
W2 W 0.333 0.667 0.050
W3 W 0.333 0.667 0.674
Se1 Se 0.000 0.000 0.630
Se2 Se 0.000 0.000 0.718
Se3 Se 0.333 0.667 0.818
Se4 Se 0.333 0.667 0.906
S1 S 0.333 0.667 0.447
S2 S 0.333 0.667 0.526
```



Entry 5:
Starting from a crystal structure in the Materials Project, relaxed with PBE, the PXRD pattern of Te2MoW3Se4S2 was simulated for Cu Kα (λ = 1.5418 Å).
Peak positions follow from Bragg's law for the DFT cell and can differ from measured ones.

Principal peaks in the range 10° ≤ 2θ ≤ 90°, low angle first:
| two_theta | d_spacing | I (rel.) | index |
| --- | --- | --- | --- |
| 11.6 | 7.617 | 100 | 0 0 5 |
| 14.0 | 6.348 | 23 | 0 0 6 |
| 30.9 | 2.893 | 38 | 1 0 0 |
| 33.1 | 2.706 | 14 | 1 0 5 |
| 36.3 | 2.474 | 74 | 0 1 8 |
| 44.0 | 2.059 | 43 | 1 0 13 |
| 45.8 | 1.983 | 15 | 0 1 14 |
| 54.9 | 1.671 | 26 | 1 1 0 |
| 67.7 | 1.385 | 12 | 2 0 8 |
| 77.7 | 1.229 | 12 | 1 1 21 |

```
data_Te2MoW3Se4S2
_chemical_formula_sum 'Te2 Mo1 W3 Se4 S2'
_space_group_name_H-M_alt 'P 1'
_space_group_IT_number 1
_space_group_name_Hall 'P 1'
_cell_length_a 3.343
_cell_length_b 3.343
_cell_length_c 38.087
_cell_angle_alpha 90.00
_cell_angle_beta 90.00
_cell_angle_gamma 120.00
loop_
_atom_site_label
_atom_site_type_symbol
_atom_site_fract_x
_atom_site_fract_y
_atom_site_fract_z
Te1 Te 0.000 0.000 0.000
Te2 Te 0.000 0.000 0.100
Mo1 Mo 0.000 0.000 0.486
W1 W 0.000 0.000 0.862
W2 W 0.333 0.667 0.050
W3 W 0.333 0.667 0.674
Se1 Se 0.333 0.667 0.443
Se2 Se 0.333 0.667 0.530
Se3 Se 0.333 0.667 0.818
Se4 Se 0.333 0.667 0.906
S1 S 0.000 0.000 0.634
S2 S 0.000 0.000 0.714
```



Entry 6:
Starting from a crystal structure in the Materials Project, relaxed with PBE, the PXRD pattern of Te2MoW3Se2S4 was simulated for Cu Kα (λ = 1.5418 Å).
Peak positions follow from Bragg's law for the DFT cell and can differ from measured ones.

Principal peaks in the range 10° ≤ 2θ ≤ 90°, low angle first:
| two_theta | d_spacing | I (rel.) | index |
| --- | --- | --- | --- |
| 11.8 | 7.527 | 100 | 0 0 5 |
| 14.1 | 6.272 | 27 | 0 0 6 |
| 31.3 | 2.862 | 38 | 1 0 0 |
| 33.5 | 2.676 | 13 | 1 0 5 |
| 36.7 | 2.446 | 73 | 1 0 8 |
| 44.5 | 2.036 | 38 | 0 1 13 |
| 46.3 | 1.960 | 14 | 1 0 14 |
| 55.6 | 1.653 | 23 | 1 1 0 |
| 57.0 | 1.614 | 11 | 1 1 5 |
| 68.5 | 1.369 | 12 | 2 0 8 |

```
data_Te2MoW3Se2S4
_chemical_formula_sum 'Te2 Mo1 W3 Se2 S4'
_space_group_name_H-M_alt 'P 1'
_space_group_IT_number 1
_space_group_name_Hall 'P 1'
_cell_length_a 3.306
_cell_length_b 3.306
_cell_length_c 37.635
_cell_angle_alpha 90.00
_cell_angle_beta 90.00
_cell_angle_gamma 120.00
loop_
_atom_site_label
_atom_site_type_symbol
_atom_site_fract_x
_atom_site_fract_y
_atom_site_fract_z
Te1 Te 0.000 0.000 0.000
Te2 Te 0.000 0.000 0.102
Mo1 Mo 0.667 0.333 0.051
W1 W 0.000 0.000 0.239
W2 W 0.000 0.000 0.614
W3 W 0.667 0.333 0.427
Se1 Se 0.000 0.000 0.382
Se2 Se 0.000 0.000 0.471
S1 S 0.667 0.333 0.198
S2 S 0.667 0.333 0.279
S3 S 0.667 0.333 0.574
S4 S 0.667 0.333 0.655
```



Entry 7:
Starting from a crystal structure in the Materials Project, relaxed with PBE, the PXRD pattern of Te2MoWSeS was simulated for Cu Kα (λ = 1.5418 Å).
Peak positions follow from Bragg's law for the DFT cell and can differ from measured ones.

Principal peaks in the range 10° ≤ 2θ ≤ 90°, low angle first:
| two_theta | d_spacing | I (rel.) | index |
| --- | --- | --- | --- |
| 11.4 | 7.745 | 100 | 0 0 5 |
| 13.7 | 6.454 | 17 | 0 0 6 |
| 30.4 | 2.938 | 54 | 1 0 0 |
| 35.7 | 2.513 | 96 | 1 0 8 |
| 38.4 | 2.342 | 13 | 0 1 10 |
| 43.2 | 2.092 | 52 | 1 0 13 |
| 45.0 | 2.015 | 16 | 1 0 14 |
| 54.0 | 1.697 | 33 | 1 1 0 |
| 66.5 | 1.407 | 15 | 2 0 8 |
| 76.2 | 1.249 | 15 | 1 1 21 |

```
data_Te2MoWSeS
_chemical_formula_sum 'Te4 Mo2 W2 Se2 S2'
_space_group_name_H-M_alt 'P 1'
_space_group_IT_number 1
_space_group_name_Hall 'P 1'
_cell_length_a 3.395
_cell_length_b 3.395
_cell_length_c 38.724
_cell_angle_alpha 90.00
_cell_angle_beta 90.00
_cell_angle_gamma 120.00
loop_
_atom_site_label
_atom_site_type_symbol
_atom_site_fract_x
_atom_site_fract_y
_atom_site_fract_z
Te1 Te 0.000 0.000 0.000
Te2 Te 0.000 0.000 0.097
Te3 Te 0.000 0.000 0.375
Te4 Te 0.000 0.000 0.473
Mo1 Mo 0.000 0.000 0.860
Mo2 Mo 0.333 0.667 0.048
W1 W 0.000 0.000 0.236
W2 W 0.333 0.667 0.424
Se1 Se 0.333 0.667 0.818
Se2 Se 0.333 0.667 0.903
S1 S 0.333 0.667 0.197
S2 S 0.333 0.667 0.275
```



Entry 8:
Starting from a crystal structure in the Materials Project, relaxed with PBE, the PXRD pattern of Te2Mo3WSe2S4 was simulated for Cu Kα (λ = 1.5418 Å).
Peak positions follow from Bragg's law for the DFT cell and can differ from measured ones.

Principal peaks in the range 10° ≤ 2θ ≤ 90°, low angle first:
| two_theta | d_spacing | I (rel.) | index |
| --- | --- | --- | --- |
| 11.3 | 7.809 | 100 | 0 0 5 |
| 13.6 | 6.507 | 23 | 0 0 6 |
| 31.2 | 2.864 | 39 | 1 0 0 |
| 33.3 | 2.690 | 12 | 1 0 5 |
| 36.4 | 2.471 | 66 | 0 1 8 |
| 37.6 | 2.391 | 12 | 0 1 9 |
| 43.7 | 2.073 | 43 | 1 0 13 |
| 45.4 | 1.999 | 15 | 1 0 14 |
| 55.6 | 1.654 | 26 | 1 1 0 |
| 77.2 | 1.236 | 12 | 1 1 21 |

```
data_Te2Mo3WSe2S4
_chemical_formula_sum 'Te2 Mo3 W1 Se2 S4'
_space_group_name_H-M_alt 'P 1'
_space_group_IT_number 1
_space_group_name_Hall 'P 1'
_cell_length_a 3.309
_cell_length_b 3.309
_cell_length_c 39.044
_cell_angle_alpha 90.00
_cell_angle_beta 90.00
_cell_angle_gamma 120.00
loop_
_atom_site_label
_atom_site_type_symbol
_atom_site_fract_x
_atom_site_fract_y
_atom_site_fract_z
Te1 Te 0.000 0.000 0.000
Te2 Te 0.000 0.000 0.098
Mo1 Mo 0.000 0.000 0.484
Mo2 Mo 0.333 0.667 0.049
Mo3 Mo 0.333 0.667 0.672
W1 W 0.000 0.000 0.858
Se1 Se 0.333 0.667 0.815
Se2 Se 0.333 0.667 0.902
S1 S 0.000 0.000 0.633
S2 S 0.000 0.000 0.711
S3 S 0.333 0.667 0.445
S4 S 0.333 0.667 0.523
```



Entry 9:
Starting from a crystal structure in the Materials Project, relaxed with PBE, the PXRD pattern of Te2Mo3WSe4S2 was simulated for Cu Kα (λ = 1.5418 Å).
Peak positions follow from Bragg's law for the DFT cell and can differ from measured ones.

Principal peaks in the range 10° ≤ 2θ ≤ 90°, low angle first:
| two_theta | d_spacing | I (rel.) | index |
| --- | --- | --- | --- |
| 11.6 | 7.625 | 100 | 0 0 5 |
| 30.9 | 2.892 | 55 | 1 0 0 |
| 33.1 | 2.706 | 14 | 1 0 5 |
| 36.3 | 2.474 | 91 | 1 0 8 |
| 37.6 | 2.389 | 15 | 1 0 9 |
| 44.0 | 2.060 | 53 | 0 1 13 |
| 45.8 | 1.983 | 16 | 1 0 14 |
| 55.0 | 1.670 | 34 | 1 1 0 |
| 67.7 | 1.384 | 14 | 0 2 8 |
| 77.7 | 1.229 | 15 | 1 1 21 |

```
data_Te2Mo3WSe4S2
_chemical_formula_sum 'Te2 Mo3 W1 Se4 S2'
_space_group_name_H-M_alt 'P 1'
_space_group_IT_number 1
_space_group_name_Hall 'P 1'
_cell_length_a 3.341
_cell_length_b 3.341
_cell_length_c 38.125
_cell_angle_alpha 90.00
_cell_angle_beta 90.00
_cell_angle_gamma 120.00
loop_
_atom_site_label
_atom_site_type_symbol
_atom_site_fract_x
_atom_site_fract_y
_atom_site_fract_z
Te1 Te 0.000 0.000 0.000
Te2 Te 0.000 0.000 0.100
Mo1 Mo 0.000 0.000 0.862
Mo2 Mo 0.667 0.333 0.050
Mo3 Mo 0.667 0.333 0.674
W1 W 0.000 0.000 0.238
Se1 Se 0.000 0.000 0.630
Se2 Se 0.000 0.000 0.718
Se3 Se 0.667 0.333 0.818
Se4 Se 0.667 0.333 0.906
S1 S 0.667 0.333 0.198
S2 S 0.667 0.333 0.278
```



Entry 10:
Starting from a crystal structure in the Materials Project, relaxed with PBE, the PXRD pattern of TeMoWSe2S was simulated for Cu Kα (λ = 1.5418 Å).
Peak positions follow from Bragg's law for the DFT cell and can differ from measured ones.

Principal peaks in the range 10° ≤ 2θ ≤ 90°, low angle first:
| two_theta | d_spacing | I (rel.) | index |
| --- | --- | --- | --- |
| 11.6 | 7.610 | 100 | 0 0 5 |
| 14.0 | 6.342 | 24 | 0 0 6 |
| 30.9 | 2.894 | 39 | 1 0 0 |
| 33.1 | 2.707 | 13 | 1 0 5 |
| 36.3 | 2.473 | 81 | 0 1 8 |
| 39.1 | 2.304 | 16 | 1 0 10 |
| 44.0 | 2.059 | 46 | 1 0 13 |
| 45.8 | 1.982 | 16 | 1 0 14 |
| 54.9 | 1.672 | 27 | 1 1 0 |
| 67.6 | 1.385 | 13 | 2 0 8 |

```
data_TeMoWSe2S
_chemical_formula_sum 'Te2 Mo2 W2 Se4 S2'
_space_group_name_H-M_alt 'P 1'
_space_group_IT_number 1
_space_group_name_Hall 'P 1'
_cell_length_a 3.344
_cell_length_b 3.344
_cell_length_c 38.052
_cell_angle_alpha 90.00
_cell_angle_beta 90.00
_cell_angle_gamma 120.00
loop_
_atom_site_label
_atom_site_type_symbol
_atom_site_fract_x
_atom_site_fract_y
_atom_site_fract_z
Te1 Te 0.000 0.000 0.000
Te2 Te 0.000 0.000 0.100
Mo1 Mo 0.000 0.000 0.238
Mo2 Mo 0.667 0.333 0.050
W1 W 0.000 0.000 0.614
W2 W 0.667 0.333 0.426
Se1 Se 0.000 0.000 0.382
Se2 Se 0.000 0.000 0.470
Se3 Se 0.667 0.333 0.569
Se4 Se 0.667 0.333 0.658
S1 S 0.667 0.333 0.198
S2 S 0.667 0.333 0.278
```



Entry 11:
Starting from a crystal structure in the Materials Project, relaxed with PBE, the PXRD pattern of Te2MoW3Se2S4 was simulated for Cu Kα (λ = 1.5418 Å).
Peak positions follow from Bragg's law for the DFT cell and can differ from measured ones.

Principal peaks in the range 10° ≤ 2θ ≤ 90°, low angle first:
| two_theta | d_spacing | I (rel.) | index |
| --- | --- | --- | --- |
| 11.7 | 7.533 | 100 | 0 0 5 |
| 14.1 | 6.277 | 22 | 0 0 6 |
| 31.2 | 2.864 | 30 | 1 0 0 |
| 31.6 | 2.833 | 13 | 0 1 2 |
| 33.5 | 2.678 | 15 | 1 0 5 |
| 34.4 | 2.607 | 14 | 0 1 6 |
| 36.7 | 2.448 | 74 | 1 0 8 |
| 39.5 | 2.280 | 19 | 1 0 10 |
| 44.5 | 2.037 | 37 | 0 1 13 |
| 55.6 | 1.654 | 21 | 1 1 0 |

```
data_Te2MoW3Se2S4
_chemical_formula_sum 'Te2 Mo1 W3 Se2 S4'
_space_group_name_H-M_alt 'P 1'
_space_group_IT_number 1
_space_group_name_Hall 'P 1'
_cell_length_a 3.309
_cell_length_b 3.309
_cell_length_c 37.663
_cell_angle_alpha 90.00
_cell_angle_beta 90.00
_cell_angle_gamma 120.00
loop_
_atom_site_label
_atom_site_type_symbol
_atom_site_fract_x
_atom_site_fract_y
_atom_site_fract_z
Te1 Te 0.000 0.000 0.000
Te2 Te 0.000 0.000 0.102
Mo1 Mo 0.000 0.000 0.863
W1 W 0.000 0.000 0.487
W2 W 0.333 0.667 0.051
W3 W 0.333 0.667 0.675
Se1 Se 0.333 0.667 0.443
Se2 Se 0.333 0.667 0.532
S1 S 0.000 0.000 0.635
S2 S 0.000 0.000 0.716
S3 S 0.333 0.667 0.823
S4 S 0.333 0.667 0.904
```



Entry 12:
Starting from a crystal structure in the Materials Project, relaxed with PBE, the PXRD pattern of TeMoWSe2S was simulated for Cu Kα (λ = 1.5418 Å).
Peak positions follow from Bragg's law for the DFT cell and can differ from measured ones.

Principal peaks in the range 10° ≤ 2θ ≤ 90°, low angle first:
| two_theta | d_spacing | I (rel.) | index |
| --- | --- | --- | --- |
| 11.6 | 7.608 | 100 | 0 0 5 |
| 14.0 | 6.340 | 24 | 0 0 6 |
| 30.9 | 2.892 | 41 | 1 0 0 |
| 33.1 | 2.705 | 14 | 1 0 5 |
| 36.3 | 2.472 | 80 | 1 0 8 |
| 44.0 | 2.058 | 46 | 0 1 13 |
| 45.8 | 1.981 | 17 | 1 0 14 |
| 55.0 | 1.671 | 28 | 1 1 0 |
| 67.7 | 1.384 | 13 | 0 2 8 |
| 77.8 | 1.228 | 13 | 1 1 21 |

```
data_TeMoWSe2S
_chemical_formula_sum 'Te2 Mo2 W2 Se4 S2'
_space_group_name_H-M_alt 'P 1'
_space_group_IT_number 1
_space_group_name_Hall 'P 1'
_cell_length_a 3.342
_cell_length_b 3.342
_cell_length_c 38.038
_cell_angle_alpha 90.00
_cell_angle_beta 90.00
_cell_angle_gamma 120.00
loop_
_atom_site_label
_atom_site_type_symbol
_atom_site_fract_x
_atom_site_fract_y
_atom_site_fract_z
Te1 Te 0.000 0.000 0.000
Te2 Te 0.000 0.000 0.100
Mo1 Mo 0.000 0.000 0.238
Mo2 Mo 0.667 0.333 0.050
W1 W 0.000 0.000 0.613
W2 W 0.667 0.333 0.426
Se1 Se 0.000 0.000 0.382
Se2 Se 0.000 0.000 0.470
Se3 Se 0.667 0.333 0.194
Se4 Se 0.667 0.333 0.282
S1 S 0.667 0.333 0.573
S2 S 0.667 0.333 0.654
```